This entry pairs a crystal structure of Li2VFeP2H2O10 with its computed XRD peak list. Radiation: Cu Kα X-rays. Structure: DFT lattice parameters and positions (GGA+U).
Kinematic intensities with the Lorentz-polarization factor, no thermal factor.

a b c (Å): 6.930 7.494 7.803
angles (deg): 117.04 92.20 90.59
Fractional coordinates of all 36 atoms:
Li: 0.000 0.000 0.000
Li: 0.184 0.331 0.968
Li: 0.495 0.505 0.494
Li: 0.684 0.828 0.470
V: 0.592 0.666 0.983
V: 0.841 0.415 0.236
Fe: 0.090 0.164 0.483
Fe: 0.340 0.917 0.731
P: 0.241 0.691 0.275
P: 0.434 0.142 0.193
P: 0.746 0.188 0.774
P: 0.942 0.640 0.690
H: 0.302 0.596 0.753
H: 0.376 0.230 0.694
H: 0.804 0.096 0.270
H: 0.882 0.739 0.215
O: 0.069 0.461 0.660
O: 0.071 0.817 0.704
O: 0.111 0.870 0.306
O: 0.115 0.512 0.258
O: 0.254 0.159 0.692
O: 0.286 0.086 0.019
O: 0.331 0.225 0.387
O: 0.340 0.606 0.080
O: 0.395 0.749 0.445
O: 0.423 0.674 0.766
O: 0.563 0.964 0.163
O: 0.564 0.322 0.215
O: 0.614 0.011 0.754
O: 0.620 0.368 0.804
O: 0.761 0.659 0.198
O: 0.788 0.584 0.520
O: 0.843 0.728 0.884
O: 0.849 0.103 0.580
O: 0.895 0.243 0.948
O: 0.925 0.171 0.276

The 10 most intense peaks (10° ≤ 2θ ≤ 90°), in order of rising 2θ:
- (1 0 -1), 17.65°, I = 39
- (1 0 1), 18.53°, I = 36
- (1 1 0), 18.76°, I = 49
- (0 1 1), 22.29°, I = 28
- (0 0 2), 25.67°, I = 31
- (1 1 -2), 25.88°, I = 29
- (1 -1 2), 26.70°, I = 99
- (1 -2 1), 26.97°, I = 100
- (2 1 -1), 29.04°, I = 86
- (-1 1 2), 35.96°, I = 38